Starting from a cell relaxed with PBE, the powder X-ray diffraction pattern of LaPmNdTe3 was computed for Cu Ka.
Kinematic intensities with the Lorentz-polarization factor, no thermal factor.

Atomic structure:
Cell lengths 8.775, 4.409, 11.096 Å; angles 90.00, 105.32, 90.00 degrees
Fractional coordinates of all 12 atoms:
La 0.188 0.250 0.214
La 0.812 0.750 0.786
Pm 0.340 0.750 0.904
Pm 0.660 0.250 0.096
Nd 0.158 0.250 0.620
Nd 0.842 0.750 0.380
Te 0.087 0.250 0.893
Te 0.223 0.750 0.441
Te 0.473 0.750 0.201
Te 0.527 0.250 0.799
Te 0.777 0.250 0.559
Te 0.913 0.750 0.107

Principal peaks in the range 2θ = 10–80°, most intense first:
2θ (°), intensity
29.25, 1000
31.83, 685
28.84, 627
40.94, 577
32.31, 540
36.56, 456
30.83, 328
26.19, 322
40.67, 286
67.48, 286



Starting from a cell relaxed with PBE, the powder X-ray diffraction pattern of LaPm2Nd3Te6 was computed for Cu Ka.
Kinematic intensities with the Lorentz-polarization factor, no thermal factor.

Atomic structure:
Cell lengths 10.055, 10.055, 9.036 Å; angles 102.84, 102.84, 25.81 degrees
Fractional coordinates of all 12 atoms:
La 0.000 0.000 0.000
Pm 0.332 0.332 0.666
Pm 0.668 0.668 0.334
Nd 0.000 0.000 0.500
Nd 0.335 0.335 0.169
Nd 0.665 0.665 0.831
Te 0.167 0.167 0.581
Te 0.169 0.169 0.085
Te 0.498 0.498 0.746
Te 0.502 0.502 0.254
Te 0.831 0.831 0.915
Te 0.833 0.833 0.419

Principal peaks in the range 2θ = 10–80°, most intense first:
2θ (°), intensity
28.03, 1000
40.06, 509
49.70, 136
57.93, 129
39.91, 129
40.16, 127
65.64, 117
65.53, 117
72.87, 107
49.42, 69



Starting from a cell relaxed with PBE, the powder X-ray diffraction pattern of LaPm2Nd6Tm was computed for Cu Ka.
Kinematic intensities with the Lorentz-polarization factor, no thermal factor.

Atomic structure:
Cell lengths 9.015, 9.015, 9.843 Å; angles 93.83, 93.83, 117.75 degrees
Fractional coordinates of all 20 atoms:
La 0.022 0.978 0.750
La 0.978 0.022 0.250
Pm 0.199 0.300 0.546
Pm 0.300 0.199 0.046
Pm 0.700 0.801 0.954
Pm 0.801 0.700 0.454
Nd 0.012 0.567 0.688
Nd 0.121 0.749 0.055
Nd 0.251 0.879 0.445
Nd 0.295 0.507 0.882
Nd 0.433 0.988 0.812
Nd 0.493 0.705 0.618
Nd 0.507 0.295 0.382
Nd 0.567 0.012 0.188
Nd 0.705 0.493 0.118
Nd 0.749 0.121 0.555
Nd 0.879 0.251 0.945
Nd 0.988 0.433 0.312
Tm 0.410 0.590 0.250
Tm 0.590 0.410 0.750

Principal peaks in the range 2θ = 10–80°, most intense first:
2θ (°), intensity
30.57, 1000
29.82, 932
32.96, 431
30.82, 360
27.82, 343
27.37, 163
31.54, 162
33.64, 130
54.71, 113
49.30, 112



Starting from a cell relaxed with PBE, the powder X-ray diffraction pattern of La2Pm4Nd2Tm was computed for Cu Ka.
Kinematic intensities with the Lorentz-polarization factor, no thermal factor.

Atomic structure:
Cell lengths 9.747, 9.747, 9.818 Å; angles 115.05, 115.05, 21.86 degrees
Fractional coordinates of all 9 atoms:
La 0.164 0.164 0.499
La 0.836 0.836 0.501
Pm 0.019 0.019 0.829
Pm 0.315 0.315 0.166
Pm 0.685 0.685 0.834
Pm 0.981 0.981 0.171
Nd 0.353 0.353 0.834
Nd 0.647 0.647 0.166
Tm 0.500 0.500 0.500

Principal peaks in the range 2θ = 10–80°, most intense first:
2θ (°), intensity
31.05, 1000
32.66, 584
30.27, 497
28.13, 364
58.99, 300
32.78, 278
49.44, 254
53.19, 223
59.14, 148
60.51, 147



Starting from a cell relaxed with PBE, the powder X-ray diffraction pattern of La2PmNd2Tm was computed for Cu Ka.
Kinematic intensities with the Lorentz-polarization factor, no thermal factor.

Atomic structure:
Cell lengths 7.151, 5.793, 10.017 Å; angles 90.00, 90.00, 90.00 degrees
Fractional coordinates of all 12 atoms:
La 0.000 0.000 0.000
La 0.250 0.500 0.178
La 0.500 0.000 0.000
La 0.750 0.500 0.822
Pm 0.250 0.000 0.657
Pm 0.750 0.000 0.343
Nd 0.250 0.000 0.332
Nd 0.250 0.500 0.835
Nd 0.750 0.000 0.668
Nd 0.750 0.500 0.165
Tm 0.000 0.500 0.500
Tm 0.500 0.500 0.500

Principal peaks in the range 2θ = 10–80°, most intense first:
2θ (°), intensity
30.90, 1000
30.71, 928
54.84, 358
44.13, 342
60.91, 289
54.95, 194
78.32, 137
64.38, 119
72.99, 101
40.08, 90



Starting from a cell relaxed with PBE, the powder X-ray diffraction pattern of LaPmNdTm was computed for Cu Ka.
Kinematic intensities with the Lorentz-polarization factor, no thermal factor.

Atomic structure:
Cell lengths 3.654, 3.654, 11.827 Å; angles 90.00, 90.00, 120.00 degrees
Fractional coordinates of all 4 atoms:
La 0.000 0.000 0.000
Pm 0.333 0.667 0.490
Nd 0.667 0.333 0.741
Tm 0.667 0.333 0.249

Principal peaks in the range 2θ = 10–80°, most intense first:
2θ (°), intensity
32.08, 1000
29.21, 377
30.23, 332
59.47, 292
49.91, 250
54.87, 216
36.41, 214
60.58, 163
28.20, 98
48.02, 94



Q: Which formula does entry 3 have?
A: LaPm2Nd6Tm